Starting from a PBE-relaxed structure, the powder X-ray diffraction pattern of TeIrW2Se was computed for Cu Kα, 1.54184 Å.

Largest 10 diffraction maxima, by angle, 2θ = 5–70°:
2θ 17.82, rel. 42.3, hkl 1 0 0; 2θ 18.59, rel. 16.8, hkl 0 0 1; 2θ 31.58, rel. 100.0, hkl 1 1 1; 2θ 36.09, rel. 77.8, hkl 2 0 0; 2θ 37.68, rel. 34.6, hkl 0 0 2; 2θ 51.96, rel. 27.7, hkl 2 2 0; 2θ 53.17, rel. 51.7, hkl 2 0 2; 2θ 62.09, rel. 29.7, hkl 3 1 1; 2θ 64.23, rel. 13.4, hkl 1 1 3; 2θ 65.95, rel. 27.1, hkl 2 2 2

Cell and atoms:
a = 4.9775 Å, b = 4.9775 Å, c = 4.7741 Å
α = 90.00°, β = 90.00°, γ = 90.00°
Fractional coordinates of all 5 atoms:
Te 0.0000 0.0000 0.0000
Ir 0.0000 0.0000 0.5000
W 0.0000 0.5000 0.0000
W 0.5000 0.0000 0.0000
Se 0.5000 0.5000 0.5000